Diffraction record for CeZrO4. The XRD peak list is theoretical, not measured: it uses a structure optimized by DFT (GGA-PBE) and λ = 1.5418 Å (Cu Kα).
No peak broadening, texture or thermal motion is included.

Main lines, sorted by position (15 to 90 degrees two-theta):
- d = 3.200 Å, 27.88°, intensity 3
- d = 3.064 Å, 29.14°, intensity 100
- d = 2.654 Å, 33.78°, intensity 26
- d = 2.435 Å, 36.91°, intensity 2
- d = 2.043 Å, 44.35°, intensity 2
- d = 1.876 Å, 48.52°, intensity 57
- d = 1.794 Å, 50.90°, intensity 1
- d = 1.600 Å, 57.60°, intensity 43
- d = 1.532 Å, 60.43°, intensity 7
- d = 1.327 Å, 71.05°, intensity 8
- d = 1.218 Å, 78.57°, intensity 17
- d = 1.187 Å, 81.03°, intensity 10

Atomic structure:
```
CeZrO4
1.0
0.000 5.307 5.307
5.307 0.000 5.307
5.307 5.307 0.000
Ce Zr O
4 4 16
Cartesian
0.000 0.000 0.000
2.654 2.654 0.000
2.654 0.000 2.654
0.000 2.654 2.654
5.307 2.654 2.654
2.654 5.307 2.654
2.654 2.654 5.307
5.307 5.307 5.307
1.327 1.327 1.327
3.980 3.980 1.421
3.980 1.421 3.980
6.539 3.980 3.980
3.980 3.980 3.980
6.634 6.634 4.075
6.634 4.075 6.634
9.193 6.634 6.634
1.421 3.980 3.980
3.980 6.539 3.980
3.980 3.980 6.539
6.634 6.634 6.634
4.075 6.634 6.634
6.634 9.193 6.634
6.634 6.634 9.193
9.287 9.287 9.287
```

***

Diffraction record for Ce2ZrO6. The XRD peak list is theoretical, not measured: it uses a structure optimized by DFT (GGA-PBE) and λ = 1.5418 Å (Cu Kα).
No peak broadening, texture or thermal motion is included.

Main lines, sorted by position (15 to 90 degrees two-theta):
- d = 3.094 Å, 28.86°, intensity 100
- d = 2.689 Å, 33.33°, intensity 9
- d = 2.675 Å, 33.50°, intensity 18
- d = 1.896 Å, 47.98°, intensity 37
- d = 1.891 Å, 48.11°, intensity 19
- d = 1.620 Å, 56.84°, intensity 14
- d = 1.614 Å, 57.08°, intensity 29
- d = 1.547 Å, 59.78°, intensity 8
- d = 1.230 Å, 77.61°, intensity 11
- d = 1.228 Å, 77.81°, intensity 6
- d = 1.197 Å, 80.21°, intensity 7
- d = 1.093 Å, 89.72°, intensity 11

Atomic structure:
```
Ce2ZrO6
1.0
-1.891 1.891 8.066
1.891 -1.891 8.066
1.891 1.891 -8.066
Ce Zr O
2 1 6
Cartesian
0.000 0.000 2.651
0.000 0.000 13.481
0.000 0.000 8.066
1.891 0.000 1.262
1.891 0.000 4.033
1.891 0.000 6.804
0.000 1.891 1.262
0.000 1.891 4.033
0.000 1.891 6.804
```

***

Diffraction record for Ce6Os5. The XRD peak list is theoretical, not measured: it uses a structure optimized by DFT (GGA-PBE) and λ = 1.5418 Å (Cu Kα).
No peak broadening, texture or thermal motion is included.

Main lines, sorted by position (15 to 90 degrees two-theta):
- d = 4.396 Å, 20.20°, intensity 10
- d = 2.833 Å, 31.58°, intensity 100
- d = 2.761 Å, 32.42°, intensity 57
- d = 2.447 Å, 36.73°, intensity 13
- d = 2.158 Å, 41.86°, intensity 15
- d = 2.119 Å, 42.66°, intensity 22
- d = 2.009 Å, 45.13°, intensity 36
- d = 1.947 Å, 46.64°, intensity 35
- d = 1.904 Å, 47.78°, intensity 22
- d = 1.720 Å, 53.25°, intensity 11
- d = 1.645 Å, 55.91°, intensity 11
- d = 1.568 Å, 58.92°, intensity 12

Atomic structure:
```
Ce6Os5
1.0
3.405 -5.713 0.000
3.405 5.713 0.000
-1.845 0.000 6.882
Ce Os
6 5
Cartesian
0.233 2.008 4.972
1.146 0.000 1.459
0.233 -2.008 4.972
4.734 2.008 1.909
3.820 0.000 5.423
4.734 -2.008 1.909
-0.922 0.000 3.441
3.405 3.632 0.000
2.483 1.450 3.441
2.483 -1.450 3.441
3.405 -3.632 0.000
```

***

Diffraction record for Ce5Os2. The XRD peak list is theoretical, not measured: it uses a structure optimized by DFT (GGA-PBE) and λ = 1.5418 Å (Cu Kα).
No peak broadening, texture or thermal motion is included.

Main lines, sorted by position (15 to 90 degrees two-theta):
- d = 4.425 Å, 20.07°, intensity 54
- d = 2.875 Å, 31.11°, intensity 71
- d = 2.800 Å, 31.96°, intensity 36
- d = 2.746 Å, 32.60°, intensity 43
- d = 2.668 Å, 33.60°, intensity 52
- d = 2.574 Å, 34.86°, intensity 100
- d = 2.526 Å, 35.54°, intensity 35
- d = 2.481 Å, 36.20°, intensity 27
- d = 2.394 Å, 37.56°, intensity 41
- d = 2.274 Å, 39.63°, intensity 34
- d = 2.222 Å, 40.61°, intensity 54
- d = 1.618 Å, 56.90°, intensity 34

Atomic structure:
```
Ce5Os2
1.0
8.146 -3.141 0.000
8.146 3.141 0.000
-0.812 0.000 7.083
Ce Os
10 4
Cartesian
7.537 2.519 5.312
3.327 0.493 2.256
6.611 0.721 0.560
2.921 -0.493 5.798
9.274 0.721 2.981
6.205 -0.721 4.101
12.558 0.493 1.285
8.868 -0.721 6.523
12.152 -0.493 4.826
7.943 -2.519 1.771
6.008 1.927 2.937
9.877 1.927 0.604
5.602 -1.927 6.478
9.471 -1.927 4.145
```

***

Q: What is the formula in the fourth record?
A: Ce5Os2

***

Q: Number 1 is which compound?
A: CeZrO4